Record 1
Starting from the PBE geometry in Alexandria, the X-ray diffraction stick pattern of V2CoNi6 was calculated for Cu Ka.
No peak broadening, texture or thermal motion is included.

Atomic structure:
```
data_V2CoNi6
_chemical_formula_sum 'V4 Co2 Ni12'
_space_group_name_H-M_alt 'C m m m'
_space_group_IT_number 65
_space_group_name_Hall '-C 2 2'
_cell_length_a 6.8166
_cell_length_b 12.4286
_cell_length_c 2.4572
_cell_angle_alpha 90.00
_cell_angle_beta 90.00
_cell_angle_gamma 90.00
loop_
_atom_site_label
_atom_site_fract_x
_atom_site_fract_y
_atom_site_fract_z
V1 0.0000 0.1818 0.0000
Co1 0.0000 0.5000 0.5000
Ni1 0.1797 0.0000 0.0000
Ni2 0.1804 0.3391 0.5000
```

The 8 most intense peaks (2θ = 10–90°), in order of rising 2θ:
| index | d/Å | Position (°2θ) | Rel. int. |
| --- | --- | --- | --- |
| 1 1 1 | 2.273 | 39.7 | 48 |
| 0 6 0 | 2.071 | 43.7 | 53 |
| 3 3 0 | 1.992 | 45.5 | 100 |
| 0 4 1 | 1.927 | 47.2 | 14 |
| 2 2 1 | 1.898 | 47.9 | 45 |
| 1 5 1 | 1.693 | 54.2 | 22 |
| 2 4 1 | 1.678 | 54.7 | 26 |
| 3 9 0 | 1.180 | 81.6 | 13 |

Record 2
Starting from the PBE geometry in Alexandria, the X-ray diffraction stick pattern of Cu4P3O12 was calculated for Cu Ka.
No peak broadening, texture or thermal motion is included.

Atomic structure:
```
data_Cu4P3O12
_chemical_formula_sum 'Cu16 P12 O48'
_space_group_name_H-M_alt 'C 1 2/c 1'
_space_group_IT_number 15
_space_group_name_Hall '-C 2yc'
_cell_length_a 12.2978
_cell_length_b 11.9847
_cell_length_c 7.4475
_cell_angle_alpha 90.00
_cell_angle_beta 121.86
_cell_angle_gamma 90.00
loop_
_atom_site_label
_atom_site_fract_x
_atom_site_fract_y
_atom_site_fract_z
Cu1 0.0000 0.0072 0.2500
Cu2 0.0000 0.2441 0.7500
Cu3 0.2257 0.3407 0.6586
P1 0.0000 0.2280 0.2500
P2 0.2339 0.3869 0.1134
O1 0.0479 0.2944 0.4521
O2 0.0981 0.1339 0.2635
O3 0.1215 0.1125 0.8344
O4 0.1507 0.3405 0.8858
O5 0.1945 0.4964 0.6364
O6 0.2291 0.3130 0.2802
```

The 8 most intense peaks (2θ = 10–90°), in order of rising 2θ:
| index | d/Å | Position (°2θ) | Rel. int. |
| --- | --- | --- | --- |
| 1 1 0 | 7.874 | 11.2 | 44 |
| 0 2 0 | 5.992 | 14.8 | 39 |
| 1 1 -2 | 3.447 | 25.8 | 100 |
| 3 1 0 | 3.343 | 26.7 | 32 |
| 0 0 2 | 3.163 | 28.2 | 47 |
| 4 0 -2 | 2.901 | 30.8 | 50 |
| 4 0 0 | 2.611 | 34.3 | 36 |
| 2 4 0 | 2.599 | 34.5 | 62 |

Record 3
Starting from the PBE geometry in Alexandria, the X-ray diffraction stick pattern of CsUZn2I8 was calculated for Cu Ka.
No peak broadening, texture or thermal motion is included.

Atomic structure:
```
data_CsUZn2I8
_chemical_formula_sum 'Cs1 U1 Zn2 I8'
_space_group_name_H-M_alt 'P -3'
_space_group_IT_number 147
_space_group_name_Hall '-P 3'
_cell_length_a 7.5481
_cell_length_b 7.5481
_cell_length_c 11.1134
_cell_angle_alpha 90.00
_cell_angle_beta 90.00
_cell_angle_gamma 120.00
loop_
_atom_site_label
_atom_site_fract_x
_atom_site_fract_y
_atom_site_fract_z
Cs1 0.0000 0.0000 0.0000
U1 0.0000 0.0000 0.5000
Zn1 0.3333 0.6667 0.7499
I1 0.0027 0.6682 0.3312
I2 0.3333 0.6667 0.9798
```

The 8 most intense peaks (2θ = 10–90°), in order of rising 2θ:
| index | d/Å | Position (°2θ) | Rel. int. |
| --- | --- | --- | --- |
| 0 1 1 | 5.634 | 15.7 | 39 |
| 1 0 2 | 4.234 | 21.0 | 28 |
| 0 0 3 | 3.704 | 24.0 | 28 |
| 1 1 1 | 3.574 | 24.9 | 85 |
| 2 -1 2 | 3.122 | 28.6 | 100 |
| 1 1 4 | 2.237 | 40.3 | 61 |
| 3 0 0 | 2.179 | 41.4 | 56 |
| 3 0 3 | 1.878 | 48.5 | 24 |

Record 4
Starting from the PBE geometry in Alexandria, the X-ray diffraction stick pattern of Hg2Pb3 was calculated for Cu Ka.
No peak broadening, texture or thermal motion is included.

Atomic structure:
```
data_Hg2Pb3
_chemical_formula_sum 'Hg8 Pb12'
_space_group_name_H-M_alt 'I b a m'
_space_group_IT_number 72
_space_group_name_Hall '-I 2 2c'
_cell_length_a 7.9469
_cell_length_b 12.4117
_cell_length_c 6.4143
_cell_angle_alpha 90.00
_cell_angle_beta 90.00
_cell_angle_gamma 90.00
loop_
_atom_site_label
_atom_site_fract_x
_atom_site_fract_y
_atom_site_fract_z
Hg1 0.2383 0.1591 0.0000
Pb1 0.0000 0.5000 0.2500
Pb2 0.1486 0.1074 0.5000
```

The 8 most intense peaks (2θ = 10–90°), in order of rising 2θ:
| index | d/Å | Position (°2θ) | Rel. int. |
| --- | --- | --- | --- |
| 1 3 0 | 3.670 | 24.3 | 60 |
| 0 0 2 | 3.207 | 27.8 | 68 |
| 1 1 2 | 2.892 | 30.9 | 96 |
| 1 4 1 | 2.635 | 34.0 | 88 |
| 3 1 0 | 2.591 | 34.6 | 65 |
| 2 0 2 | 2.496 | 36.0 | 100 |
| 3 2 1 | 2.278 | 39.6 | 71 |
| 0 4 2 | 2.230 | 40.4 | 99 |

Record 5
Starting from the PBE geometry in Alexandria, the X-ray diffraction stick pattern of Hg2P4Se was calculated for Cu Ka.
No peak broadening, texture or thermal motion is included.

Atomic structure:
```
data_Hg2P4Se
_chemical_formula_sum 'Hg4 P8 Se2'
_space_group_name_H-M_alt 'P 1 2/c 1'
_space_group_IT_number 13
_space_group_name_Hall '-P 2yc'
_cell_length_a 9.8880
_cell_length_b 5.8014
_cell_length_c 7.1824
_cell_angle_alpha 90.00
_cell_angle_beta 91.94
_cell_angle_gamma 90.00
loop_
_atom_site_label
_atom_site_fract_x
_atom_site_fract_y
_atom_site_fract_z
Hg1 0.1609 0.0045 0.0073
P1 0.1169 0.2852 0.2598
P2 0.4374 0.1436 0.9899
Se1 0.5000 0.3528 0.2500
```

The 8 most intense peaks (2θ = 10–90°), in order of rising 2θ:
| index | d/Å | Position (°2θ) | Rel. int. |
| --- | --- | --- | --- |
| 0 1 0 | 5.801 | 15.3 | 100 |
| 1 1 0 | 5.003 | 17.7 | 45 |
| 3 0 0 | 3.294 | 27.1 | 55 |
| 0 1 2 | 3.052 | 29.3 | 77 |
| 3 1 0 | 2.863 | 31.2 | 41 |
| 3 1 -2 | 2.272 | 39.7 | 41 |
| 0 2 2 | 2.256 | 40.0 | 29 |
| 3 1 2 | 2.208 | 40.9 | 40 |

Record 6
Starting from the PBE geometry in Alexandria, the X-ray diffraction stick pattern of Ba4SrTc3O12 was calculated for Cu Ka.
No peak broadening, texture or thermal motion is included.

Atomic structure:
```
data_Ba4SrTc3O12
_chemical_formula_sum 'Ba8 Sr2 Tc6 O24'
_space_group_name_H-M_alt 'I m -3 m'
_space_group_IT_number 229
_space_group_name_Hall '-I 4 2 3'
_cell_length_a 8.3784
_cell_length_b 8.3784
_cell_length_c 8.3784
_cell_angle_alpha 90.00
_cell_angle_beta 90.00
_cell_angle_gamma 90.00
loop_
_atom_site_label
_atom_site_fract_x
_atom_site_fract_y
_atom_site_fract_z
Ba1 0.2500 0.2500 0.2500
Sr1 0.0000 0.0000 0.0000
Tc1 0.0000 0.0000 0.5000
O1 0.0000 0.0000 0.2747
O2 0.0000 0.2500 0.5000
```

The 8 most intense peaks (2θ = 10–90°), in order of rising 2θ:
| index | d/Å | Position (°2θ) | Rel. int. |
| --- | --- | --- | --- |
| 2 2 0 | 2.962 | 30.2 | 100 |
| 2 2 2 | 2.419 | 37.2 | 6 |
| 4 0 0 | 2.095 | 43.2 | 31 |
| 4 2 2 | 1.710 | 53.6 | 39 |
| 4 4 0 | 1.481 | 62.7 | 19 |
| 6 2 0 | 1.325 | 71.2 | 18 |
| 4 4 4 | 1.209 | 79.2 | 6 |
| 6 4 2 | 1.120 | 87.0 | 21 |